The following is a simulated powder X-ray diffraction pattern of PmBeBPt6. It was derived from DFT lattice parameters and positions (PBE), using Cu Kα.
Kinematic intensities with the Lorentz-polarization factor, no thermal factor.

The 10 most intense peaks (2θ from 15° to 90°), by angle:
2θ 23.38, I 10.7
2θ 33.01, I 41.0
2θ 33.59, I 100.0
2θ 35.55, I 19.2
2θ 37.18, I 11.7
2θ 44.54, I 22.2
2θ 47.81, I 54.7
2θ 51.75, I 13.5
2θ 56.53, I 14.3
2θ 62.77, I 11.6

Atomic structure:
```
PmBeBPt6
1.0
-3.5332 4.0689 5.4279
3.5332 -4.0689 5.4279
3.5332 4.0689 -5.4279
Pm Be B Pt
2 2 2 12
direct
0.4040 0.1540 0.2500 Pm
0.5960 0.8460 0.7500 Pm
0.0000 0.0000 0.5000 Be
0.0000 0.5000 0.0000 Be
0.0000 0.5000 0.5000 B
0.5000 0.5000 0.0000 B
0.1041 0.4025 0.2533 Pt
0.1041 0.8508 0.7016 Pt
0.1287 0.8787 0.2500 Pt
0.3169 0.5669 0.7500 Pt
0.3508 0.1492 0.7533 Pt
0.3508 0.5975 0.2016 Pt
0.6492 0.4025 0.7984 Pt
0.6492 0.8508 0.2467 Pt
0.6831 0.4331 0.2500 Pt
0.8713 0.1213 0.7500 Pt
0.8959 0.1492 0.2984 Pt
0.8959 0.5975 0.7467 Pt
```

=====

The following is a simulated powder X-ray diffraction pattern of NpTeO6. It was derived from DFT lattice parameters and positions (PBE), using Cu Kα.
Kinematic intensities with the Lorentz-polarization factor, no thermal factor.

The 10 most intense peaks (2θ from 15° to 90°), by angle:
2θ 26.30, I 68.1
2θ 28.57, I 100.0
2θ 37.54, I 14.7
2θ 47.84, I 56.7
2θ 51.95, I 21.1
2θ 54.13, I 13.4
2θ 59.15, I 14.8
2θ 62.34, I 14.2
2θ 75.10, I 12.5
2θ 78.33, I 12.8

Atomic structure:
```
NpTeO6
1.0
4.7922 0.0000 0.0000
0.0000 4.7922 0.0000
0.0000 0.0000 8.2397
Np Te O
2 2 12
direct
0.0000 0.0000 0.2500 Np
0.0000 0.0000 0.7500 Np
0.5000 0.5000 0.0000 Te
0.5000 0.5000 0.5000 Te
0.2144 0.7834 0.0000 O
0.2166 0.2144 0.5000 O
0.2790 0.7188 0.3389 O
0.2790 0.7188 0.6611 O
0.2812 0.2790 0.1611 O
0.2812 0.2790 0.8389 O
0.7188 0.7210 0.1611 O
0.7188 0.7210 0.8389 O
0.7210 0.2812 0.3389 O
0.7210 0.2812 0.6611 O
0.7834 0.7856 0.5000 O
0.7856 0.2166 0.0000 O
```

=====

The following is a simulated powder X-ray diffraction pattern of NaCe2Cu2S6. It was derived from DFT lattice parameters and positions (PBE), using Cu Kα.
Kinematic intensities with the Lorentz-polarization factor, no thermal factor.

The 10 most intense peaks (2θ from 15° to 90°), by angle:
2θ 25.02, I 60.7
2θ 26.87, I 100.0
2θ 29.40, I 72.1
2θ 32.13, I 32.2
2θ 35.01, I 23.9
2θ 35.32, I 49.9
2θ 37.04, I 54.5
2θ 46.34, I 38.5
2θ 53.12, I 40.6
2θ 55.37, I 31.8

Atomic structure:
```
NaCe2Cu2S6
1.0
3.3186 1.9160 7.5557
-3.3186 1.9160 7.5557
0.0000 -3.8320 7.5557
Na Ce Cu S
1 2 2 6
direct
0.0000 0.0000 0.0000 Na
0.1956 0.1956 0.1956 Ce
0.8044 0.8044 0.8044 Ce
0.4417 0.4417 0.4417 Cu
0.5583 0.5583 0.5583 Cu
0.1955 0.7512 0.7512 S
0.2488 0.2488 0.8045 S
0.2488 0.8045 0.2488 S
0.7512 0.1955 0.7512 S
0.7512 0.7512 0.1955 S
0.8045 0.2488 0.2488 S
```

=====

The following is a simulated powder X-ray diffraction pattern of La3Th5Bi8. It was derived from DFT lattice parameters and positions (PBE), using Cu Kα.
Kinematic intensities with the Lorentz-polarization factor, no thermal factor.

The 10 most intense peaks (2θ from 15° to 90°), by angle:
2θ 27.23, I 100.0
2θ 38.88, I 79.3
2θ 48.03, I 7.3
2θ 48.14, I 21.8
2θ 56.16, I 13.9
2θ 63.51, I 38.7
2θ 70.30, I 7.2
2θ 70.45, I 21.6
2θ 83.55, I 4.7
2θ 89.87, I 16.3

Atomic structure:
```
La3Th5Bi8
1.0
4.6285 2.6723 7.5768
-4.6285 2.6723 7.5768
0.0000 -5.3446 7.5768
La Th Bi
3 5 8
direct
0.0000 0.5000 0.5000 La
0.5000 0.0000 0.5000 La
0.5000 0.5000 0.0000 La
0.0000 0.0000 0.0000 Th
0.0000 0.0000 0.5000 Th
0.0000 0.5000 0.0000 Th
0.5000 0.0000 0.0000 Th
0.5000 0.5000 0.5000 Th
0.2471 0.7500 0.7500 Bi
0.2483 0.2483 0.2483 Bi
0.2500 0.2500 0.7529 Bi
0.2500 0.7529 0.2500 Bi
0.7500 0.2471 0.7500 Bi
0.7500 0.7500 0.2471 Bi
0.7517 0.7517 0.7517 Bi
0.7529 0.2500 0.2500 Bi
```

=====

The following is a simulated powder X-ray diffraction pattern of Nd5ThSc. It was derived from DFT lattice parameters and positions (PBE), using Cu Kα.
Kinematic intensities with the Lorentz-polarization factor, no thermal factor.

The 10 most intense peaks (2θ from 15° to 90°), by angle:
2θ 21.97, I 46.3
2θ 31.24, I 48.2
2θ 31.38, I 80.4
2θ 31.88, I 50.8
2θ 32.03, I 100.0
2θ 32.28, I 33.3
2θ 35.32, I 31.1
2θ 48.32, I 23.1
2θ 57.32, I 19.6
2θ 61.27, I 17.1

Atomic structure:
```
Nd5ThSc
1.0
6.2127 0.0000 0.0000
-2.0979 5.8508 0.0000
-1.0714 -1.5339 6.6896
Nd Th Sc
5 1 1
direct
0.0000 0.0000 0.0000 Nd
0.0288 0.5893 0.2725 Nd
0.4124 0.9712 0.7282 Nd
0.5876 0.0288 0.2718 Nd
0.9712 0.4107 0.7275 Nd
0.5000 0.5000 0.0000 Th
0.5000 0.5000 0.5000 Sc
```